1.
TbPmY: calculated XRD peak list (λ = 1.5418 Å (Cu Kα)), based on DFT lattice parameters and positions (PBE).
Kinematic intensities with the Lorentz-polarization factor, no thermal factor.

Structural model:
```
data_TbPmY
_chemical_formula_sum 'Tb2 Pm2 Y2'
_symmetry_space_group_name_H-M 'P -1'
_symmetry_Int_Tables_number 2
_cell_length_a 3.5464
_cell_length_b 6.1399
_cell_length_c 9.6533
_cell_angle_alpha 90.60
_cell_angle_beta 90.07
_cell_angle_gamma 106.65
loop_
_symmetry_equiv_pos_as_xyz
'x,y,z'
'-x,-y,-z'
loop_
_atom_site_label
_atom_site_fract_x
_atom_site_fract_y
_atom_site_fract_z
Tb1 0.1307 0.2634 0.4316
Pm1 0.1343 0.2689 0.0778
Y1 0.4080 0.8150 0.2515
```

Top 12 peaks for 10 to 90 degrees two-theta, low angle first:
hkl 1 0 0, d = 3.396 Å, I 35
hkl 1 0 1, d = 3.201 Å, I 66
hkl 0 2 0, d = 2.941 Å, I 96
hkl 0 1 -3, d = 2.836 Å, I 98
hkl 0 1 3, d = 2.809 Å, I 100
hkl 1 0 -2, d = 2.781 Å, I 52
hkl 1 0 2, d = 2.773 Å, I 49
hkl 1 -2 0, d = 2.630 Å, I 57
hkl 1 1 -1, d = 2.543 Å, I 30
hkl 0 3 -3, d = 1.683 Å, I 30
hkl 0 3 3, d = 1.667 Å, I 37
hkl 2 0 3, d = 1.500 Å, I 29

=====

2.
Tb6Pm6Y: calculated XRD peak list (λ = 1.5418 Å (Cu Kα)), based on DFT lattice parameters and positions (PBE).
Kinematic intensities with the Lorentz-polarization factor, no thermal factor.

Structural model:
```
data_Tb6Pm6Y
_chemical_formula_sum 'Tb6 Pm6 Y1'
_symmetry_space_group_name_H-M 'P 1 2/m 1'
_symmetry_Int_Tables_number 10
_cell_length_a 6.6067
_cell_length_b 11.2531
_cell_length_c 6.6078
_cell_angle_alpha 90.00
_cell_angle_beta 114.96
_cell_angle_gamma 90.00
loop_
_symmetry_equiv_pos_as_xyz
'x,y,z'
'-x,-y,-z'
'-x,y,-z'
'x,-y,z'
loop_
_atom_site_label
_atom_site_fract_x
_atom_site_fract_y
_atom_site_fract_z
Tb1 0.0000 0.1964 0.0000
Tb2 0.0000 0.2764 0.5000
Tb3 0.5000 0.2759 0.0000
Pm1 0.1437 0.5000 0.8581
Pm2 0.2375 0.0000 0.7621
Pm3 0.5000 0.1712 0.5000
Y1 0.5000 0.5000 0.5000
```

Top 12 peaks for 10 to 90 degrees two-theta, low angle first:
hkl 1 3 -1, d = 3.112 Å, I 66
hkl 0 0 2, d = 2.999 Å, I 74
hkl 2 2 -1, d = 2.841 Å, I 20
hkl 0 4 0, d = 2.813 Å, I 24
hkl 2 0 -2, d = 2.786 Å, I 32
hkl 2 2 0, d = 2.644 Å, I 100
hkl 1 3 1, d = 2.579 Å, I 26
hkl 1 4 -1, d = 2.511 Å, I 18
hkl 2 2 -2, d = 2.496 Å, I 21
hkl 1 1 -3, d = 2.152 Å, I 22
hkl 2 0 2, d = 1.776 Å, I 20
hkl 1 5 -3, d = 1.570 Å, I 26

=====

3.
Tb4Pm10Y: calculated XRD peak list (λ = 1.5418 Å (Cu Kα)), based on DFT lattice parameters and positions (PBE).
Kinematic intensities with the Lorentz-polarization factor, no thermal factor.

Structural model:
```
data_Tb4Pm10Y
_chemical_formula_sum 'Tb8 Pm20 Y2'
_symmetry_space_group_name_H-M 'I 4/m'
_symmetry_Int_Tables_number 87
_symmetry_space_group_name_Hall '-I 4'
_cell_length_a 9.9689
_cell_length_b 9.9689
_cell_length_c 10.9596
_cell_angle_alpha 90.00
_cell_angle_beta 90.00
_cell_angle_gamma 90.00
loop_
_atom_site_label
_atom_site_fract_x
_atom_site_fract_y
_atom_site_fract_z
Tb1 0.0581 0.7152 0.0000
Pm1 0.0000 0.5000 0.2500
Pm2 0.1200 0.7740 0.3331
Y1 0.0000 0.0000 0.5000
```

Top 12 peaks for 10 to 90 degrees two-theta, low angle first:
hkl 1 0 3, d = 3.430 Å, I 30
hkl 3 0 1, d = 3.180 Å, I 18
hkl 1 3 0, d = 3.152 Å, I 84
hkl 2 2 2, d = 2.964 Å, I 17
hkl 1 2 3, d = 2.826 Å, I 100
hkl 1 3 2, d = 2.733 Å, I 36
hkl 4 2 0, d = 2.229 Å, I 26
hkl 3 2 3, d = 2.205 Å, I 24
hkl 4 2 2, d = 2.065 Å, I 13
hkl 4 0 4, d = 1.842 Å, I 13
hkl 3 1 6, d = 1.580 Å, I 22
hkl 7 1 2, d = 1.366 Å, I 15

=====

4.
Tb3Pm4Y2: calculated XRD peak list (λ = 1.5418 Å (Cu Kα)), based on DFT lattice parameters and positions (PBE).
Kinematic intensities with the Lorentz-polarization factor, no thermal factor.

Structural model:
```
data_Tb3Pm4Y2
_chemical_formula_sum 'Tb12 Pm16 Y8'
_symmetry_space_group_name_H-M 'C c c m'
_symmetry_Int_Tables_number 66
_symmetry_space_group_name_Hall '-C 2 2c'
_cell_length_a 9.8645
_cell_length_b 17.0303
_cell_length_c 7.0847
_cell_angle_alpha 90.00
_cell_angle_beta 90.00
_cell_angle_gamma 90.00
loop_
_atom_site_label
_atom_site_fract_x
_atom_site_fract_y
_atom_site_fract_z
Tb1 0.0000 0.0000 0.2500
Tb2 0.0000 0.3296 0.2500
Pm1 0.1538 0.1724 0.0000
Pm2 0.1653 0.4861 0.0000
Y1 0.1815 0.1606 0.5000
```

Top 12 peaks for 10 to 90 degrees two-theta, low angle first:
hkl 2 4 1, d = 2.934 Å, I 7
hkl 1 3 2, d = 2.876 Å, I 100
hkl 3 3 0, d = 2.843 Å, I 97
hkl 4 0 2, d = 2.022 Å, I 35
hkl 0 0 4, d = 1.771 Å, I 9
hkl 4 6 2, d = 1.649 Å, I 24
hkl 6 0 0, d = 1.645 Å, I 17
hkl 3 9 0, d = 1.640 Å, I 11
hkl 3 3 4, d = 1.504 Å, I 19
hkl 0 6 4, d = 1.503 Å, I 9
hkl 5 9 2, d = 1.274 Å, I 8
hkl 3 9 4, d = 1.203 Å, I 8

=====

5.
TbPm3Y: calculated XRD peak list (λ = 1.5418 Å (Cu Kα)), based on DFT lattice parameters and positions (PBE).
Kinematic intensities with the Lorentz-polarization factor, no thermal factor.

Structural model:
```
data_TbPm3Y
_chemical_formula_sum 'Tb4 Pm12 Y4'
_symmetry_space_group_name_H-M 'C 1 2/m 1'
_symmetry_Int_Tables_number 12
_cell_length_a 11.4196
_cell_length_b 5.1169
_cell_length_c 11.4593
_cell_angle_alpha 90.00
_cell_angle_beta 90.15
_cell_angle_gamma 90.00
loop_
_symmetry_equiv_pos_as_xyz
'x,y,z'
'-x,-y,-z'
'-x,y,-z'
'x,-y,z'
'x+1/2,y+1/2,z'
'-x+1/2,-y+1/2,-z'
'-x+1/2,y+1/2,-z'
'x+1/2,-y+1/2,z'
loop_
_atom_site_label
_atom_site_fract_x
_atom_site_fract_y
_atom_site_fract_z
Tb1 0.0504 0.0000 0.1500
Pm1 0.0501 0.5000 0.6500
Pm2 0.1498 0.5000 0.9498
Pm3 0.2495 0.0000 0.7496
Y1 0.1502 0.0000 0.4496
```

Top 12 peaks for 10 to 90 degrees two-theta, low angle first:
hkl 1 1 3, d = 2.954 Å, I 100
hkl 0 2 0, d = 2.561 Å, I 34
hkl 4 0 2, d = 2.553 Å, I 17
hkl 2 0 6, d = 1.810 Å, I 18
hkl 4 2 2, d = 1.807 Å, I 18
hkl 5 1 -5, d = 1.545 Å, I 14
hkl 5 1 5, d = 1.542 Å, I 21
hkl 7 1 1, d = 1.540 Å, I 7
hkl 2 2 6, d = 1.478 Å, I 6
hkl 6 2 -2, d = 1.476 Å, I 6
hkl 3 1 9, d = 1.174 Å, I 6
hkl 7 3 1, d = 1.173 Å, I 9

=====

6.
Tb4Pm7Y: calculated XRD peak list (λ = 1.5418 Å (Cu Kα)), based on DFT lattice parameters and positions (PBE).
Kinematic intensities with the Lorentz-polarization factor, no thermal factor.

Structural model:
```
data_Tb4Pm7Y
_chemical_formula_sum 'Tb4 Pm7 Y1'
_symmetry_space_group_name_H-M 'P -1'
_symmetry_Int_Tables_number 2
_cell_length_a 6.3153
_cell_length_b 7.2885
_cell_length_c 8.9909
_cell_angle_alpha 89.99
_cell_angle_beta 76.48
_cell_angle_gamma 90.00
loop_
_symmetry_equiv_pos_as_xyz
'x,y,z'
'-x,-y,-z'
loop_
_atom_site_label
_atom_site_fract_x
_atom_site_fract_y
_atom_site_fract_z
Tb1 0.2207 0.9998 0.3342
Tb2 0.2781 0.2484 0.6671
Pm1 0.0000 0.0000 0.0000
Pm2 0.2224 0.4999 0.3346
Pm3 0.2790 0.7514 0.6658
Pm4 0.4993 0.2480 0.9993
Y1 0.0000 0.5000 0.0000
```

Top 12 peaks for 10 to 90 degrees two-theta, low angle first:
hkl 1 2 0, d = 3.134 Å, I 34
hkl 1 2 1, d = 3.069 Å, I 21
hkl 0 0 3, d = 2.914 Å, I 51
hkl 2 0 2, d = 2.844 Å, I 100
hkl 2 0 -1, d = 2.705 Å, I 89
hkl 3 2 1, d = 1.823 Å, I 39
hkl 2 0 5, d = 1.700 Å, I 22
hkl 2 0 -4, d = 1.611 Å, I 19
hkl 3 2 4, d = 1.545 Å, I 46
hkl 2 4 2, d = 1.535 Å, I 16
hkl 2 4 -1, d = 1.511 Å, I 15
hkl 3 2 7, d = 1.138 Å, I 17

=====

7.
Tb6Pm3Y2: calculated XRD peak list (λ = 1.5418 Å (Cu Kα)), based on DFT lattice parameters and positions (PBE).
Kinematic intensities with the Lorentz-polarization factor, no thermal factor.

Structural model:
```
data_Tb6Pm3Y2
_chemical_formula_sum 'Tb6 Pm3 Y2'
_symmetry_space_group_name_H-M 'P -1'
_symmetry_Int_Tables_number 2
_cell_length_a 6.2016
_cell_length_b 8.0054
_cell_length_c 8.0351
_cell_angle_alpha 107.43
_cell_angle_beta 104.73
_cell_angle_gamma 97.41
loop_
_symmetry_equiv_pos_as_xyz
'x,y,z'
'-x,-y,-z'
loop_
_atom_site_label
_atom_site_fract_x
_atom_site_fract_y
_atom_site_fract_z
Tb1 0.0454 0.4081 0.1806
Tb2 0.2265 0.0454 0.9096
Tb3 0.3181 0.8638 0.2716
Pm1 0.1363 0.2264 0.5460
Pm2 0.5000 0.5000 0.0000
Y1 0.4087 0.6825 0.6366
```

Top 12 peaks for 10 to 90 degrees two-theta, low angle first:
hkl 0 2 1, d = 2.934 Å, I 100
hkl 1 2 -2, d = 2.923 Å, I 99
hkl 2 1 0, d = 2.538 Å, I 67
hkl 1 -3 1, d = 2.532 Å, I 33
hkl 1 1 3, d = 1.800 Å, I 12
hkl 3 -2 1, d = 1.794 Å, I 24
hkl 3 1 -3, d = 1.790 Å, I 36
hkl 3 0 2, d = 1.534 Å, I 14
hkl 2 3 1, d = 1.531 Å, I 21
hkl 4 0 -1, d = 1.528 Å, I 28
hkl 3 3 -2, d = 1.527 Å, I 21
hkl 2 4 -4, d = 1.462 Å, I 12

=====

8.
TbPm4Y10: calculated XRD peak list (λ = 1.5418 Å (Cu Kα)), based on DFT lattice parameters and positions (PBE).
Kinematic intensities with the Lorentz-polarization factor, no thermal factor.

Structural model:
```
data_TbPm4Y10
_chemical_formula_sum 'Tb2 Pm8 Y20'
_symmetry_space_group_name_H-M 'I 4/m'
_symmetry_Int_Tables_number 87
_symmetry_space_group_name_Hall '-I 4'
_cell_length_a 12.2621
_cell_length_b 12.2621
_cell_length_c 7.7566
_cell_angle_alpha 90.00
_cell_angle_beta 90.00
_cell_angle_gamma 90.00
loop_
_atom_site_label
_atom_site_fract_x
_atom_site_fract_y
_atom_site_fract_z
Tb1 0.0000 0.0000 0.0000
Pm1 0.1005 0.2991 0.5000
Y1 0.0000 0.5000 0.2500
Y2 0.0991 0.8007 0.2487
```

Top 12 peaks for 10 to 90 degrees two-theta, low angle first:
hkl 2 1 1, d = 4.478 Å, I 47
hkl 4 2 0, d = 2.742 Å, I 100
hkl 5 0 1, d = 2.338 Å, I 26
hkl 2 6 0, d = 1.939 Å, I 18
hkl 6 3 1, d = 1.779 Å, I 11
hkl 7 1 2, d = 1.583 Å, I 37
hkl 6 3 3, d = 1.493 Å, I 8
hkl 8 4 0, d = 1.371 Å, I 11
hkl 9 2 1, d = 1.311 Å, I 8
hkl 10 0 0, d = 1.226 Å, I 16
hkl 9 2 3, d = 1.183 Å, I 3
hkl 8 4 4, d = 1.119 Å, I 4

=====

9.
Tb3Pm5Y4: calculated XRD peak list (λ = 1.5418 Å (Cu Kα)), based on DFT lattice parameters and positions (PBE).
Kinematic intensities with the Lorentz-polarization factor, no thermal factor.

Structural model:
```
data_Tb3Pm5Y4
_chemical_formula_sum 'Tb3 Pm5 Y4'
_symmetry_space_group_name_H-M 'P -1'
_symmetry_Int_Tables_number 2
_cell_length_a 6.2359
_cell_length_b 7.2021
_cell_length_c 8.8172
_cell_angle_alpha 90.05
_cell_angle_beta 90.07
_cell_angle_gamma 90.06
loop_
_symmetry_equiv_pos_as_xyz
'x,y,z'
'-x,-y,-z'
loop_
_atom_site_label
_atom_site_fract_x
_atom_site_fract_y
_atom_site_fract_z
Tb1 0.0000 0.0000 0.0000
Tb2 0.1666 0.7501 0.6660
Pm1 0.0000 0.5000 0.0000
Pm2 0.3328 0.0002 0.3344
Pm3 0.4991 0.7499 0.9993
Y1 0.1657 0.2508 0.6654
Y2 0.3337 0.4997 0.3346
```

Top 12 peaks for 10 to 90 degrees two-theta, low angle first:
hkl 2 0 1, d = 2.940 Å, I 100
hkl 1 2 2, d = 2.546 Å, I 50
hkl 3 2 0, d = 1.800 Å, I 36
hkl 2 4 1, d = 1.535 Å, I 39
hkl 3 2 3, d = 1.534 Å, I 4
hkl 4 0 2, d = 1.470 Å, I 12
hkl 4 0 -4, d = 1.273 Å, I 4
hkl 2 4 4, d = 1.272 Å, I 2
hkl 5 -2 1, d = 1.168 Å, I 13
hkl 5 2 1, d = 1.167 Å, I 4
hkl 1 6 2, d = 1.139 Å, I 12
hkl 4 4 2, d = 1.138 Å, I 4

=====

10.
Tb5Pm4Y2: calculated XRD peak list (λ = 1.5418 Å (Cu Kα)), based on DFT lattice parameters and positions (PBE).
Kinematic intensities with the Lorentz-polarization factor, no thermal factor.

Structural model:
```
data_Tb5Pm4Y2
_chemical_formula_sum 'Tb10 Pm8 Y4'
_symmetry_space_group_name_H-M 'C 1 2/m 1'
_symmetry_Int_Tables_number 12
_cell_length_a 24.0506
_cell_length_b 3.4898
_cell_length_c 8.8078
_cell_angle_alpha 90.00
_cell_angle_beta 97.40
_cell_angle_gamma 90.00
loop_
_symmetry_equiv_pos_as_xyz
'x,y,z'
'-x,-y,-z'
'-x,y,-z'
'x,-y,z'
'x+1/2,y+1/2,z'
'-x+1/2,-y+1/2,-z'
'-x+1/2,y+1/2,-z'
'x+1/2,-y+1/2,z'
loop_
_atom_site_label
_atom_site_fract_x
_atom_site_fract_y
_atom_site_fract_z
Tb1 0.0000 0.0000 0.0000
Tb2 0.1410 0.5000 0.1150
Tb3 0.2316 0.5000 0.8263
Pm1 0.0462 0.5000 0.3586
Pm2 0.1780 0.0000 0.4689
Y1 0.0903 0.5000 0.7382
```

Top 12 peaks for 10 to 90 degrees two-theta, low angle first:
hkl 3 1 1, d = 2.952 Å, I 100
hkl 8 0 -1, d = 2.940 Å, I 84
hkl 2 0 -3, d = 2.916 Å, I 82
hkl 6 0 2, d = 2.768 Å, I 69
hkl 5 1 -2, d = 2.453 Å, I 60
hkl 11 1 0, d = 1.842 Å, I 25
hkl 1 1 4, d = 1.830 Å, I 22
hkl 0 2 0, d = 1.745 Å, I 19
hkl 9 1 3, d = 1.631 Å, I 17
hkl 8 2 -1, d = 1.500 Å, I 25
hkl 2 2 -3, d = 1.497 Å, I 22
hkl 6 2 2, d = 1.476 Å, I 20

=====

11.
Tb5Pm5Y: calculated XRD peak list (λ = 1.5418 Å (Cu Kα)), based on DFT lattice parameters and positions (PBE).
Kinematic intensities with the Lorentz-polarization factor, no thermal factor.

Structural model:
```
data_Tb5Pm5Y
_chemical_formula_sum 'Tb5 Pm5 Y1'
_symmetry_space_group_name_H-M 'P -1'
_symmetry_Int_Tables_number 2
_cell_length_a 6.9542
_cell_length_b 7.0184
_cell_length_c 8.4647
_cell_angle_alpha 75.70
_cell_angle_beta 76.61
_cell_angle_gamma 72.48
loop_
_symmetry_equiv_pos_as_xyz
'x,y,z'
'-x,-y,-z'
loop_
_atom_site_label
_atom_site_fract_x
_atom_site_fract_y
_atom_site_fract_z
Tb1 0.0000 0.0000 0.0000
Tb2 0.1718 0.7292 0.3494
Tb3 0.2953 0.3583 0.6905
Pm1 0.1410 0.2583 0.2696
Pm2 0.3437 0.8673 0.6426
Pm3 0.5000 0.5000 0.0000
Y1 0.5000 0.0000 0.0000
```

Top 12 peaks for 10 to 90 degrees two-theta, low angle first:
hkl 2 0 -1, d = 2.865 Å, I 100
hkl 0 2 -1, d = 2.856 Å, I 82
hkl 0 2 2, d = 2.827 Å, I 79
hkl 2 2 1, d = 2.815 Å, I 82
hkl 1 2 -1, d = 2.794 Å, I 26
hkl 2 0 2, d = 2.783 Å, I 79
hkl 1 1 3, d = 2.759 Å, I 20
hkl 0 0 3, d = 2.694 Å, I 67
hkl 1 -2 0, d = 2.670 Å, I 29
hkl 2 -2 0, d = 2.065 Å, I 22
hkl 2 2 -2, d = 1.984 Å, I 23
hkl 2 2 4, d = 1.911 Å, I 23

=====

12.
Tb2Pm5Y5: calculated XRD peak list (λ = 1.5418 Å (Cu Kα)), based on DFT lattice parameters and positions (PBE).
Kinematic intensities with the Lorentz-polarization factor, no thermal factor.

Structural model:
```
data_Tb2Pm5Y5
_chemical_formula_sum 'Tb4 Pm10 Y10'
_symmetry_space_group_name_H-M 'C 1 2/m 1'
_symmetry_Int_Tables_number 12
_cell_length_a 15.2737
_cell_length_b 5.0986
_cell_length_c 11.3880
_cell_angle_alpha 90.00
_cell_angle_beta 116.60
_cell_angle_gamma 90.00
loop_
_symmetry_equiv_pos_as_xyz
'x,y,z'
'-x,-y,-z'
'-x,y,-z'
'x,-y,z'
'x+1/2,y+1/2,z'
'-x+1/2,-y+1/2,-z'
'-x+1/2,y+1/2,-z'
'x+1/2,-y+1/2,z'
loop_
_atom_site_label
_atom_site_fract_x
_atom_site_fract_y
_atom_site_fract_z
Tb1 0.0832 0.0000 0.2497
Pm1 0.0000 0.5000 0.0000
Pm2 0.0830 0.5000 0.7499
Pm3 0.1665 0.5000 0.4992
Y1 0.0000 0.0000 0.5000
Y2 0.1668 0.0000 0.0005
Y3 0.2491 0.5000 0.2489
```

Top 12 peaks for 10 to 90 degrees two-theta, low angle first:
hkl 2 0 -1, d = 7.410 Å, I 2
hkl 3 1 1, d = 2.941 Å, I 100
hkl 0 2 0, d = 2.547 Å, I 50
hkl 6 0 2, d = 1.801 Å, I 36
hkl 3 3 1, d = 1.536 Å, I 42
hkl 6 2 2, d = 1.470 Å, I 12
hkl 0 4 0, d = 1.275 Å, I 2
hkl 0 0 8, d = 1.273 Å, I 4
hkl 3 3 5, d = 1.169 Å, I 14
hkl 9 1 3, d = 1.168 Å, I 3
hkl 0 4 4, d = 1.139 Å, I 13
hkl 12 0 0, d = 1.138 Å, I 3

=====

13.
Tb5PmY2: calculated XRD peak list (λ = 1.5418 Å (Cu Kα)), based on DFT lattice parameters and positions (PBE).
Kinematic intensities with the Lorentz-polarization factor, no thermal factor.

Structural model:
```
data_Tb5PmY2
_chemical_formula_sum 'Tb10 Pm2 Y4'
_symmetry_space_group_name_H-M 'P b a m'
_symmetry_Int_Tables_number 55
_cell_length_a 7.1566
_cell_length_b 14.3135
_cell_length_c 5.0465
_cell_angle_alpha 90.00
_cell_angle_beta 90.00
_cell_angle_gamma 90.00
loop_
_symmetry_equiv_pos_as_xyz
'x,y,z'
'-x,-y,-z'
'-x,-y,z'
'x,y,-z'
'x+1/2,-y+1/2,-z'
'-x+1/2,y+1/2,z'
'-x+1/2,y+1/2,-z'
'x+1/2,-y+1/2,z'
loop_
_atom_site_label
_atom_site_fract_x
_atom_site_fract_y
_atom_site_fract_z
Tb1 0.0000 0.0000 0.0000
Tb2 0.0011 0.2494 0.0000
Tb3 0.2487 0.8744 0.5000
Pm1 0.0000 0.5000 0.0000
Y1 0.2494 0.6254 0.5000
```

Top 12 peaks for 10 to 90 degrees two-theta, low angle first:
hkl 2 0 1, d = 2.919 Å, I 100
hkl 2 4 0, d = 2.530 Å, I 34
hkl 0 0 2, d = 2.523 Å, I 17
hkl 4 0 0, d = 1.788 Å, I 36
hkl 4 4 1, d = 1.525 Å, I 28
hkl 2 0 3, d = 1.522 Å, I 14
hkl 4 0 2, d = 1.459 Å, I 12
hkl 4 8 0, d = 1.265 Å, I 4
hkl 6 0 1, d = 1.161 Å, I 6
hkl 4 4 3, d = 1.159 Å, I 12
hkl 6 4 0, d = 1.131 Å, I 11
hkl 2 4 4, d = 1.129 Å, I 5